Structure and computed powder X-ray diffraction pattern of Ho2Er3Tm9 (a PBE-relaxed structure; copper Kα).

Top 10 peaks for 2θ = 10–90°, low angle first:
| h k l | 2θ (°) | d [Å] | intensity |
| --- | --- | --- | --- |
| 0 3 1 | 31.8 | 2.812 | 43 |
| 0 3 0 | 31.9 | 2.805 | 97 |
| 1 1 -2 | 32.0 | 2.794 | 100 |
| 2 -1 1 | 32.2 | 2.782 | 45 |
| 1 1 3 | 32.6 | 2.750 | 78 |
| -1 2 2 | 33.6 | 2.665 | 63 |
| 1 -2 2 | 34.3 | 2.614 | 46 |
| 2 2 1 | 35.3 | 2.540 | 58 |
| 2 -4 0 | 53.5 | 1.714 | 24 |
| 0 0 5 | 55.6 | 1.654 | 17 |

Atomic structure:
a = 6.1149 Å, b = 8.5565 Å, c = 8.6108 Å
α = 79.53°, β = 77.30°, γ = 87.38°
Space group P-1 (No. 2)
Symmetry-distinct sites (fractional):
Ho  0.0486  0.0319  0.2991
Er  0.2481  0.6198  0.7274
Er  0.5000  0.0000  0.0000
Tm  0.0102  0.7522  0.0831
Tm  0.1541  0.3326  0.5059
Tm  0.3090  0.3840  0.1027
Tm  0.4100  0.6869  0.3043
Tm  0.5000  0.0000  0.5000